Record 1
Diffraction record for SmIn2Rh. The X-ray diffraction stick pattern is computed, not measured: it uses a crystal structure in the Materials Project, relaxed with GGA-PBE and a wavelength of 1.5418 Å.
Kinematic intensities with the Lorentz-polarization factor, no thermal factor.

The 10 most intense peaks (15° ≤ 2θ ≤ 90°), in order of rising 2θ:
- 2θ = 31.3°, I = 100.0, (1 1 2)
- 2θ = 33.1°, I = 21.8, (1 3 0)
- 2θ = 35.0°, I = 70.5, (1 3 1)
- 2θ = 36.8°, I = 30.1, (0 4 1)
- 2θ = 38.0°, I = 24.9, (0 2 3)
- 2θ = 40.2°, I = 24.6, (1 3 2)
- 2θ = 40.4°, I = 24.4, (1 1 3)
- 2θ = 40.6°, I = 38.9, (2 0 0)
- 2θ = 56.0°, I = 17.7, (2 4 1)
- 2θ = 68.1°, I = 24.5, (1 3 5)

Atomic structure:
a = 4.4429 Å, b = 10.2541 Å, c = 7.9972 Å
α = 90.00°, β = 90.00°, γ = 90.00°
Space group Cmcm (No. 63)
Symmetry-distinct sites (fractional):
Sm 0.0000 0.0672 0.2500
In 0.0000 0.3551 0.0508
Rh 0.0000 0.2151 0.7500

Record 2
Diffraction record for SmIn5Rh. The X-ray diffraction stick pattern is computed, not measured: it uses a crystal structure in the Materials Project, relaxed with GGA-PBE and a wavelength of 1.5418 Å.
Kinematic intensities with the Lorentz-polarization factor, no thermal factor.

The 10 most intense peaks (15° ≤ 2θ ≤ 90°), in order of rising 2θ:
- 2θ = 18.9°, I = 8.9, (1 0 0)
- 2θ = 29.4°, I = 30.6, (1 1 1)
- 2θ = 35.6°, I = 14.4, (0 0 3)
- 2θ = 36.0°, I = 100.0, (1 1 2)
- 2θ = 38.3°, I = 53.9, (2 0 0)
- 2θ = 53.3°, I = 17.6, (2 0 3)
- 2θ = 55.3°, I = 18.1, (2 2 0)
- 2θ = 67.5°, I = 8.5, (2 2 3)
- 2θ = 67.8°, I = 30.1, (3 1 2)
- 2θ = 68.0°, I = 10.6, (1 1 5)

Atomic structure:
a = 4.6982 Å, b = 4.6982 Å, c = 7.5743 Å
α = 90.00°, β = 90.00°, γ = 90.00°
Space group P4/mmm (No. 123)
Symmetry-distinct sites (fractional):
Sm 0.0000 0.0000 0.0000
In 0.0000 0.5000 0.3028
In 0.5000 0.5000 0.0000
Rh 0.0000 0.0000 0.5000

Record 3
Diffraction record for Sr2In3Rh2. The X-ray diffraction stick pattern is computed, not measured: it uses a crystal structure in the Materials Project, relaxed with GGA-PBE and a wavelength of 1.5418 Å.
Kinematic intensities with the Lorentz-polarization factor, no thermal factor.

The 10 most intense peaks (15° ≤ 2θ ≤ 90°), in order of rising 2θ:
- 2θ = 16.6°, I = 63.6, (2 0 -1)
- 2θ = 30.4°, I = 37.6, (1 1 -2)
- 2θ = 31.7°, I = 45.7, (3 1 -1)
- 2θ = 33.6°, I = 42.0, (2 0 -3)
- 2θ = 34.5°, I = 57.6, (3 1 -2)
- 2θ = 35.6°, I = 28.7, (4 0 0)
- 2θ = 36.2°, I = 100.0, (1 1 2)
- 2θ = 39.9°, I = 31.7, (3 1 1)
- 2θ = 41.7°, I = 46.1, (0 2 0)
- 2θ = 54.6°, I = 26.1, (6 0 0)

Atomic structure:
a = 11.1560 Å, b = 4.3298 Å, c = 8.0150 Å
α = 90.00°, β = 115.26°, γ = 90.00°
Space group C2/m (No. 12)
Symmetry-distinct sites (fractional):
Sr 0.1438 0.0000 0.2764
In 0.0000 0.5000 0.5000
In 0.1414 0.5000 0.9435
Rh 0.1282 0.0000 0.7066

Record 4
Diffraction record for SrIn2Rh. The X-ray diffraction stick pattern is computed, not measured: it uses a crystal structure in the Materials Project, relaxed with GGA-PBE and a wavelength of 1.5418 Å.
Kinematic intensities with the Lorentz-polarization factor, no thermal factor.

The 10 most intense peaks (15° ≤ 2θ ≤ 90°), in order of rising 2θ:
- 2θ = 16.1°, I = 41.4, (0 2 0)
- 2θ = 31.0°, I = 100.0, (1 1 2)
- 2θ = 31.6°, I = 47.9, (1 3 0)
- 2θ = 33.6°, I = 64.8, (1 3 1)
- 2θ = 34.3°, I = 42.1, (0 4 1)
- 2θ = 37.1°, I = 30.1, (0 2 3)
- 2θ = 38.8°, I = 50.5, (1 3 2)
- 2θ = 39.5°, I = 27.7, (0 4 2)
- 2θ = 40.0°, I = 64.9, (1 1 3)
- 2θ = 40.8°, I = 50.8, (2 0 0)

Atomic structure:
a = 4.4268 Å, b = 11.0342 Å, c = 8.0893 Å
α = 90.00°, β = 90.00°, γ = 90.00°
Space group Cmcm (No. 63)
Symmetry-distinct sites (fractional):
Sr 0.0000 0.0595 0.2500
In 0.0000 0.3452 0.0538
Rh 0.0000 0.2182 0.7500

Record 5
Diffraction record for TbIn5Rh. The X-ray diffraction stick pattern is computed, not measured: it uses a crystal structure in the Materials Project, relaxed with GGA-PBE and a wavelength of 1.5418 Å.
Kinematic intensities with the Lorentz-polarization factor, no thermal factor.

The 10 most intense peaks (15° ≤ 2θ ≤ 90°), in order of rising 2θ:
- 2θ = 19.0°, I = 9.5, (1 0 0)
- 2θ = 29.5°, I = 30.1, (1 1 1)
- 2θ = 35.6°, I = 14.0, (0 0 3)
- 2θ = 36.1°, I = 100.0, (1 1 2)
- 2θ = 38.6°, I = 52.6, (2 0 0)
- 2θ = 53.5°, I = 17.0, (2 0 3)
- 2θ = 55.7°, I = 17.6, (2 2 0)
- 2θ = 63.3°, I = 8.7, (2 0 4)
- 2θ = 67.8°, I = 8.2, (2 2 3)
- 2θ = 68.2°, I = 40.6, (3 1 2)

Atomic structure:
a = 4.6703 Å, b = 4.6703 Å, c = 7.5677 Å
α = 90.00°, β = 90.00°, γ = 90.00°
Space group P4/mmm (No. 123)
Symmetry-distinct sites (fractional):
Tb 0.0000 0.0000 0.0000
In 0.0000 0.5000 0.3012
In 0.5000 0.5000 0.0000
Rh 0.0000 0.0000 0.5000

Record 6
Diffraction record for TbInRh2. The X-ray diffraction stick pattern is computed, not measured: it uses a crystal structure in the Materials Project, relaxed with GGA-PBE and a wavelength of 1.5418 Å.
Kinematic intensities with the Lorentz-polarization factor, no thermal factor.

The 9 most intense peaks (15° ≤ 2θ ≤ 90°), in order of rising 2θ:
- 2θ = 23.1°, I = 1.6, (1 1 1)
- 2θ = 26.7°, I = 2.0, (2 0 0)
- 2θ = 38.1°, I = 100.0, (2 2 0)
- 2θ = 45.1°, I = 0.9, (3 1 1)
- 2θ = 47.2°, I = 0.6, (2 2 2)
- 2θ = 55.0°, I = 17.0, (4 0 0)
- 2θ = 62.2°, I = 0.8, (4 2 0)
- 2θ = 68.9°, I = 34.2, (4 2 2)
- 2θ = 81.6°, I = 10.7, (4 4 0)

Atomic structure:
a = 6.6742 Å, b = 6.6742 Å, c = 6.6742 Å
α = 90.00°, β = 90.00°, γ = 90.00°
Space group Fm-3m (No. 225)
Symmetry-distinct sites (fractional):
Tb 0.0000 0.0000 0.0000
In 0.0000 0.0000 0.5000
Rh 0.2500 0.2500 0.2500

Record 7
Diffraction record for TiInRh2. The X-ray diffraction stick pattern is computed, not measured: it uses a crystal structure in the Materials Project, relaxed with GGA-PBE and a wavelength of 1.5418 Å.
Kinematic intensities with the Lorentz-polarization factor, no thermal factor.

The 10 most intense peaks (15° ≤ 2θ ≤ 90°), in order of rising 2θ:
- 2θ = 24.3°, I = 8.4, (1 1 1)
- 2θ = 28.1°, I = 2.1, (2 0 0)
- 2θ = 40.2°, I = 100.0, (2 2 0)
- 2θ = 47.5°, I = 4.4, (3 1 1)
- 2θ = 58.1°, I = 16.3, (4 0 0)
- 2θ = 63.9°, I = 1.8, (3 3 1)
- 2θ = 65.8°, I = 0.8, (4 2 0)
- 2θ = 73.0°, I = 32.3, (4 2 2)
- 2θ = 78.3°, I = 1.4, (5 1 1)
- 2θ = 86.8°, I = 10.4, (4 4 0)

Atomic structure:
a = 6.3476 Å, b = 6.3476 Å, c = 6.3476 Å
α = 90.00°, β = 90.00°, γ = 90.00°
Space group Fm-3m (No. 225)
Symmetry-distinct sites (fractional):
Ti 0.0000 0.0000 0.0000
In 0.0000 0.0000 0.5000
Rh 0.2500 0.2500 0.2500

Record 8
Diffraction record for TmInRh. The X-ray diffraction stick pattern is computed, not measured: it uses a crystal structure in the Materials Project, relaxed with GGA-PBE and a wavelength of 1.5418 Å.
Kinematic intensities with the Lorentz-polarization factor, no thermal factor.

The 10 most intense peaks (15° ≤ 2θ ≤ 90°), in order of rising 2θ:
- 2θ = 33.2°, I = 100.0, (1 1 1)
- 2θ = 36.0°, I = 78.1, (2 0 1)
- 2θ = 36.6°, I = 42.5, (2 1 0)
- 2θ = 41.8°, I = 35.3, (3 0 0)
- 2θ = 43.6°, I = 17.9, (2 1 1)
- 2θ = 46.7°, I = 22.5, (0 0 2)
- 2θ = 56.3°, I = 16.0, (3 1 1)
- 2θ = 60.8°, I = 19.1, (2 1 2)
- 2θ = 64.4°, I = 19.2, (3 0 2)
- 2θ = 67.4°, I = 28.1, (3 2 1)

Atomic structure:
a = 7.4921 Å, b = 7.4921 Å, c = 3.8910 Å
α = 90.00°, β = 90.00°, γ = 120.00°
Space group P-62m (No. 189)
Symmetry-distinct sites (fractional):
Tm 0.0000 0.4045 0.0000
In 0.0000 0.7403 0.5000
Rh 0.0000 0.0000 0.0000
Rh 0.3333 0.6667 0.5000